Structure and computed powder diffractogram of Ni2Te3O8 (a crystal structure in Alexandria, relaxed with GGA+U; Cu Kα X-rays).
Peak positions follow from Bragg's law for the DFT cell and can differ from measured ones.

Cell: 6.820 6.820 11.608 Å, 97.86 97.86 45.64°
Element x y z (fractional)
Ni 0.057 0.414 0.355
Ni 0.414 0.057 0.855
Ni 0.586 0.943 0.145
Ni 0.943 0.586 0.645
Te 0.046 0.683 0.943
Te 0.176 0.824 0.250
Te 0.317 0.954 0.557
Te 0.683 0.046 0.443
Te 0.824 0.176 0.750
Te 0.954 0.317 0.057
O 0.030 0.133 0.356
O 0.036 0.738 0.368
O 0.133 0.030 0.856
O 0.145 0.455 0.803
O 0.259 0.275 0.026
O 0.262 0.964 0.132
O 0.275 0.259 0.526
O 0.455 0.145 0.303
O 0.545 0.855 0.697
O 0.725 0.741 0.474
O 0.738 0.036 0.868
O 0.741 0.725 0.974
O 0.855 0.545 0.197
O 0.867 0.970 0.144
O 0.964 0.262 0.632
O 0.970 0.867 0.644

Principal peaks in the range 15° ≤ 2θ ≤ 90°, sorted by position:
Position (°2θ)	intensity
18.2	42.3
19.4	23.2
22.6	37.8
27.5	76.5
30.6	100.0
32.4	32.1
37.3	24.3
41.5	17.9
41.9	18.2
60.2	17.9